The following is a computed X-ray powder pattern of MoHN2O. It was derived from a structure optimized by DFT (GGA+U), using a wavelength of 1.5418 Å.
Peak positions follow from Bragg's law for the DFT cell and can differ from measured ones.

Main lines, low angle first (10 to 80 degrees two-theta):
2theta  I (rel.)
21.97  100
22.92  41
31.26  24
31.96  40
44.80  22
50.43  19
50.90  17
52.30  17

Crystal structure
Lattice parameters (Å, degrees): 4.0463 4.0463 3.8801 90.00 90.00 90.00
Positions (direct):
1 Mo 0.0000 0.0000 0.0000
2 H 0.5000 0.5000 0.5000
3 N 0.0000 0.5000 0.0000
4 N 0.5000 0.0000 0.0000
5 O 0.0000 0.0000 0.5000